Starting from a cell relaxed with GGA-PBE, the powder XRD pattern of Cd3Pd4Au was calculated for Cu Kα (λ = 1.5418 Å).

Peak list (10 most intense, 2θ from 10° to 90°, by angle)
| Position (°2θ) | I_rel |
| --- | --- |
| 37.8 | 100 |
| 38.2 | 98 |
| 42.4 | 36 |
| 45.0 | 60 |
| 63.5 | 42 |
| 74.5 | 13 |
| 74.7 | 13 |
| 78.0 | 23 |
| 78.7 | 23 |
| 80.7 | 10 |

Structure:
a b c (Å): 8.530 5.738 5.653
angles (deg): 90.00 90.00 90.00
Space group Pmna (No. 53)
Asymmetric unit:
Cd 0.000 0.000 0.000 [2 per cell]
Cd 0.250 0.263 0.250 [4 per cell]
Pd 0.000 0.000 0.500 [2 per cell]
Pd 0.000 0.500 0.500 [2 per cell]
Pd 0.250 0.239 0.750 [4 per cell]
Au 0.000 0.500 0.000 [2 per cell]